[1]
# Mg2TlIn10
Theoretical XRD peak list, CuKα. Input: a structure optimized by DFT (PBE).
Neutral-atom scattering factors, no anomalous dispersion.

Most intense lines, 2θ from 5° to 70°, most intense first:
d 2.653, 2θ = 33.79°, I 100
d 2.738, 2θ = 32.71°, I 93
d 3.079, 2θ = 29.00°, I 92
d 2.664, 2θ = 33.64°, I 92
d 2.633, 2θ = 34.05°, I 80
d 2.430, 2θ = 37.00°, I 67
d 3.205, 2θ = 27.83°, I 58
d 1.540, 2θ = 60.09°, I 41
d 3.337, 2θ = 26.72°, I 30
d 2.373, 2θ = 37.92°, I 30

Crystal structure
```
Mg2TlIn10
1.0
0.0000 7.4268 7.4697
3.2054 0.0000 7.4697
3.2054 7.4268 0.0000
Mg Tl In
2 1 10
direct
0.0000 0.0000 0.5000
0.5000 0.5000 0.0000
0.0000 0.0000 0.0000
0.0000 0.5000 0.0000
0.0057 0.6512 0.3488
0.2841 0.5034 0.4966
0.3488 0.9943 0.0057
0.4966 0.7159 0.2841
0.5000 0.0000 0.5000
0.5034 0.2841 0.7159
0.6512 0.0057 0.9943
0.7159 0.4966 0.5034
0.9943 0.3488 0.6512
```



[2]
# Mg2Tl5In4
Theoretical XRD peak list, CuKα. Input: a structure optimized by DFT (PBE).
Neutral-atom scattering factors, no anomalous dispersion.

Most intense lines, 2θ from 5° to 70°, most intense first:
d 2.888, 2θ = 30.97°, I 100
d 2.772, 2θ = 32.30°, I 64
d 2.871, 2θ = 31.16°, I 55
d 2.727, 2θ = 32.84°, I 42
d 2.236, 2θ = 40.33°, I 32
d 2.531, 2θ = 35.47°, I 30
d 3.149, 2θ = 28.35°, I 28
d 2.936, 2θ = 30.44°, I 24
d 2.276, 2θ = 39.60°, I 24
d 3.281, 2θ = 27.18°, I 21

Crystal structure
```
Mg2Tl5In4
1.0
9.8565 -1.6641 0.0000
9.8565 1.6641 0.0000
-1.4568 0.0000 9.4452
Mg Tl In
2 5 4
direct
0.2191 0.2191 0.2197
0.7809 0.7809 0.7803
0.0000 0.0000 0.0000
0.3429 0.3429 0.0533
0.4058 0.4058 0.7079
0.5942 0.5942 0.2921
0.6571 0.6571 0.9467
0.1845 0.1845 0.5642
0.4440 0.4440 0.3536
0.5560 0.5560 0.6464
0.8155 0.8155 0.4358
```



[3]
# MgTlIn4
Theoretical XRD peak list, CuKα. Input: a structure optimized by DFT (PBE).
Neutral-atom scattering factors, no anomalous dispersion.

Most intense lines, 2θ from 5° to 70°, most intense first:
d 2.790, 2θ = 32.08°, I 100
d 2.680, 2θ = 33.44°, I 77
d 2.390, 2θ = 37.64°, I 60
d 13.941, 2θ = 6.34°, I 56
d 1.666, 2θ = 55.13°, I 29
d 1.462, 2θ = 63.65°, I 23
d 2.323, 2θ = 38.76°, I 20
d 3.120, 2θ = 28.61°, I 17
d 1.815, 2θ = 50.28°, I 16
d 1.415, 2θ = 66.05°, I 16

Crystal structure
```
MgTlIn4
1.0
3.2801 0.0000 0.0000
0.0000 3.4890 0.0000
-0.0026 0.0000 13.9408
Mg Tl In
1 1 4
direct
0.0000 0.0000 0.0000
0.5000 0.5000 0.5000
0.0027 0.0000 0.3163
0.4988 0.5000 0.8509
0.5012 0.5000 0.1491
0.9973 0.0000 0.6837
```



[4]
# MgTl16In12
Theoretical XRD peak list, CuKα. Input: a structure optimized by DFT (PBE).
Neutral-atom scattering factors, no anomalous dispersion.

Most intense lines, 2θ from 5° to 70°, most intense first:
d 2.814, 2θ = 31.80°, I 100
d 1.626, 2θ = 56.62°, I 23
d 2.545, 2θ = 35.27°, I 19
d 2.807, 2θ = 31.88°, I 19
d 2.437, 2θ = 36.89°, I 11
d 1.622, 2θ = 56.75°, I 11
d 2.341, 2θ = 38.45°, I 9
d 1.723, 2θ = 53.17°, I 6
d 4.872, 2θ = 18.21°, I 5
d 1.689, 2θ = 54.32°, I 5

Crystal structure
```
MgTl16In12
1.0
5.9539 -8.4469 0.0000
5.9539 8.4469 0.0000
-5.9441 0.0000 8.4515
Mg Tl In
1 16 12
direct
0.0000 0.0000 0.0000
0.0055 0.6897 0.3196
0.0393 0.3964 0.7139
0.0781 0.8014 0.7199
0.0815 0.4002 0.1150
0.1117 0.7187 0.0309
0.3964 0.0393 0.7139
0.3988 0.3988 0.7149
0.4002 0.0815 0.1150
0.4015 0.7968 0.3943
0.4071 0.4071 0.3591
0.6897 0.0055 0.3196
0.7187 0.1117 0.0309
0.7248 0.7248 0.4297
0.7619 0.7619 0.0682
0.7968 0.4015 0.3943
0.8014 0.0781 0.7199
0.0333 0.2187 0.3389
0.0432 0.0432 0.5399
0.2033 0.2033 0.9020
0.2101 0.5816 0.5286
0.2187 0.0333 0.3389
0.3984 0.5833 0.0794
0.3994 0.7688 0.9030
0.5816 0.2101 0.5286
0.5833 0.3984 0.0794
0.5871 0.7664 0.7139
0.7664 0.5871 0.7139
0.7688 0.3994 0.9030
```



[5]
# Mg3Tl5In
Theoretical XRD peak list, CuKα. Input: a structure optimized by DFT (PBE).
Neutral-atom scattering factors, no anomalous dispersion.

Most intense lines, 2θ from 5° to 70°, most intense first:
d 3.740, 2θ = 23.79°, I 100
d 2.752, 2θ = 32.54°, I 39
d 3.139, 2θ = 28.44°, I 20
d 2.708, 2θ = 33.07°, I 18
d 2.682, 2θ = 33.41°, I 18
d 2.718, 2θ = 32.96°, I 17
d 2.664, 2θ = 33.64°, I 16
d 2.198, 2θ = 41.06°, I 15
d 2.208, 2θ = 40.87°, I 15
d 3.111, 2θ = 28.69°, I 13

Crystal structure
```
Mg3Tl5In
1.0
5.3665 -5.5032 0.0000
5.3665 5.5032 0.0000
-3.0711 0.0000 9.3338
Mg Tl In
6 10 2
direct
0.0000 0.0000 0.0000
0.0001 0.0001 0.3317
0.9999 0.9999 0.6683
0.4974 0.4974 0.8283
0.5000 0.5000 0.5000
0.5026 0.5026 0.1717
0.1917 0.6688 0.3164
0.2492 0.2492 0.5784
0.2487 0.2487 0.9223
0.2628 0.7372 0.0000
0.3312 0.8083 0.6836
0.6688 0.1917 0.3164
0.7372 0.2628 0.0000
0.7513 0.7513 0.0777
0.7508 0.7508 0.4216
0.8083 0.3312 0.6836
0.2432 0.2432 0.2466
0.7568 0.7568 0.7534
```



[6]
# Mg4TlIn3
Theoretical XRD peak list, CuKα. Input: a structure optimized by DFT (PBE).
Neutral-atom scattering factors, no anomalous dispersion.

Most intense lines, 2θ from 5° to 70°, most intense first:
d 2.511, 2θ = 35.76°, I 100
d 3.772, 2θ = 23.59°, I 70
d 2.555, 2θ = 35.12°, I 33
d 3.365, 2θ = 26.49°, I 32
d 1.466, 2θ = 63.43°, I 18
d 2.795, 2θ = 32.02°, I 17
d 1.630, 2θ = 56.46°, I 17
d 2.035, 2θ = 44.53°, I 16
d 2.452, 2θ = 36.64°, I 14
d 2.696, 2θ = 33.23°, I 14

Crystal structure
```
Mg4TlIn3
1.0
10.2200 0.0000 0.0000
0.0000 6.7291 0.0000
0.0000 0.0000 5.5907
Mg Tl In
8 2 6
direct
0.0000 0.2464 0.0000
0.0000 0.7536 0.0000
0.2500 0.2469 0.3770
0.2500 0.7531 0.3770
0.5000 0.2464 0.0000
0.5000 0.7536 0.0000
0.7500 0.2469 0.6230
0.7500 0.7531 0.6230
0.0000 0.5000 0.5000
0.5000 0.5000 0.5000
0.0000 0.0000 0.5000
0.2500 0.0000 0.8807
0.2500 0.5000 0.8996
0.5000 0.0000 0.5000
0.7500 0.0000 0.1193
0.7500 0.5000 0.1004
```



[7]
# Mg8Tl3In
Theoretical XRD peak list, CuKα. Input: a structure optimized by DFT (PBE).
Neutral-atom scattering factors, no anomalous dispersion.

Most intense lines, 2θ from 5° to 70°, most intense first:
d 4.511, 2θ = 19.68°, I 100
d 2.329, 2θ = 38.65°, I 68
d 3.074, 2θ = 29.05°, I 62
d 2.451, 2θ = 36.67°, I 44
d 2.026, 2θ = 44.74°, I 39
d 4.128, 2θ = 21.53°, I 33
d 2.693, 2θ = 33.27°, I 29
d 1.665, 2θ = 55.15°, I 27
d 2.821, 2θ = 31.71°, I 20
d 1.474, 2θ = 63.05°, I 16

Crystal structure
```
Mg8Tl3In
1.0
0.0000 8.2564 3.3123
5.3860 0.0000 3.3123
5.3860 8.2564 0.0000
Mg Tl In
8 3 1
direct
0.0919 0.4038 0.0939
0.1568 0.8432 0.1568
0.3421 0.6552 0.3448
0.4038 0.0919 0.4104
0.5896 0.9061 0.5962
0.6552 0.3421 0.6579
0.8432 0.1568 0.8432
0.9061 0.5896 0.9081
0.4978 0.4978 0.0022
0.7489 0.7489 0.2511
0.9978 0.9978 0.5022
0.2486 0.2486 0.7514
```



[8]
# Mg8Tl3In3
Theoretical XRD peak list, CuKα. Input: a structure optimized by DFT (PBE).
Neutral-atom scattering factors, no anomalous dispersion.

Most intense lines, 2θ from 5° to 70°, most intense first:
d 3.776, 2θ = 23.56°, I 100
d 2.434, 2θ = 36.93°, I 97
d 3.183, 2θ = 28.03°, I 38
d 2.488, 2θ = 36.11°, I 33
d 4.975, 2θ = 17.83°, I 32
d 2.505, 2θ = 35.85°, I 30
d 5.799, 2θ = 15.28°, I 29
d 2.899, 2θ = 30.84°, I 26
d 2.790, 2θ = 32.08°, I 24
d 1.960, 2θ = 46.32°, I 19

Crystal structure
```
Mg8Tl3In3
1.0
6.3664 -5.7987 0.0000
6.3664 5.7987 0.0000
-0.0064 0.0000 4.9750
Mg Tl In
8 3 3
direct
0.1051 0.6387 0.9994
0.1624 0.4250 0.4993
0.3613 0.8949 0.0006
0.4250 0.1624 0.4993
0.5750 0.8376 0.5007
0.6387 0.1051 0.9994
0.8376 0.5750 0.5007
0.8949 0.3613 0.0006
0.2454 0.2454 0.9996
0.5000 0.5000 0.0000
0.7546 0.7546 0.0004
0.0000 0.0000 0.0000
0.2122 0.7878 0.5000
0.7878 0.2122 0.5000
```



[9]
# Mg3Tl8In
Theoretical XRD peak list, CuKα. Input: a structure optimized by DFT (PBE).
Neutral-atom scattering factors, no anomalous dispersion.

Most intense lines, 2θ from 5° to 70°, most intense first:
d 2.973, 2θ = 30.06°, I 100
d 2.646, 2θ = 33.88°, I 80
d 2.280, 2θ = 39.52°, I 39
d 1.797, 2θ = 50.82°, I 29
d 1.462, 2θ = 63.66°, I 26
d 2.513, 2θ = 35.72°, I 23
d 1.689, 2θ = 54.32°, I 20
d 10.054, 2θ = 8.80°, I 20
d 5.027, 2θ = 17.64°, I 15
d 1.475, 2θ = 63.00°, I 14

Crystal structure
```
Mg3Tl8In
1.0
6.2239 0.0000 0.0000
-3.1119 5.3900 0.0000
0.0000 0.0000 10.0539
Mg Tl In
3 8 1
direct
0.0000 0.0000 0.0000
0.3333 0.6667 0.0000
0.6667 0.3333 0.0000
0.0000 0.3310 0.2338
0.0000 0.6690 0.7662
0.3310 0.0000 0.2338
0.3310 0.3310 0.7662
0.3333 0.6667 0.5000
0.6667 0.3333 0.5000
0.6690 0.0000 0.7662
0.6690 0.6690 0.2338
0.0000 0.0000 0.5000
```



[10]
# Mg5Tl5In2
Theoretical XRD peak list, CuKα. Input: a structure optimized by DFT (PBE).
Neutral-atom scattering factors, no anomalous dispersion.

Most intense lines, 2θ from 5° to 70°, most intense first:
d 2.569, 2θ = 34.92°, I 100
d 2.544, 2θ = 35.28°, I 93
d 4.999, 2θ = 17.74°, I 69
d 2.709, 2θ = 33.07°, I 59
d 2.859, 2θ = 31.29°, I 58
d 2.874, 2θ = 31.12°, I 51
d 1.966, 2θ = 46.17°, I 40
d 3.633, 2θ = 24.50°, I 32
d 1.594, 2θ = 57.83°, I 26
d 1.429, 2θ = 65.29°, I 21

Crystal structure
```
Mg5Tl5In2
1.0
7.2750 -2.7085 0.0000
7.2750 2.7085 0.0000
-4.0187 0.0000 7.9345
Mg Tl In
5 5 2
direct
0.0000 0.0000 0.0000
0.0856 0.0856 0.4127
0.2439 0.2439 0.2296
0.7561 0.7561 0.7704
0.9144 0.9144 0.5873
0.3247 0.3247 0.6493
0.4017 0.4017 0.0603
0.5000 0.5000 0.5000
0.5983 0.5983 0.9397
0.6753 0.6753 0.3507
0.1474 0.1474 0.8020
0.8526 0.8526 0.1980
```



[11]
# Mg8TlIn2
Theoretical XRD peak list, CuKα. Input: a structure optimized by DFT (PBE).
Neutral-atom scattering factors, no anomalous dispersion.

Most intense lines, 2θ from 5° to 70°, most intense first:
d 3.927, 2θ = 22.64°, I 100
d 3.860, 2θ = 23.04°, I 82
d 2.384, 2θ = 37.73°, I 77
d 4.772, 2θ = 18.59°, I 75
d 3.768, 2θ = 23.61°, I 66
d 3.371, 2θ = 26.44°, I 64
d 2.666, 2θ = 33.62°, I 57
d 3.311, 2θ = 26.93°, I 49
d 2.512, 2θ = 35.74°, I 38
d 2.362, 2θ = 38.11°, I 36

Crystal structure
```
Mg8TlIn2
1.0
4.1139 -6.7407 0.0000
4.1139 6.7407 0.0000
-2.1159 0.0000 4.8323
Mg Tl In
8 1 2
direct
0.0949 0.3209 0.6246
0.2173 0.7827 0.0000
0.3209 0.0949 0.6246
0.3979 0.3979 0.1893
0.6021 0.6021 0.8107
0.6791 0.9051 0.3754
0.7827 0.2173 0.0000
0.9051 0.6791 0.3754
0.0000 0.0000 0.0000
0.3055 0.6945 0.5000
0.6945 0.3055 0.5000
```



[12]
# Mg6Tl2In
Theoretical XRD peak list, CuKα. Input: a structure optimized by DFT (PBE).
Neutral-atom scattering factors, no anomalous dispersion.

Most intense lines, 2θ from 5° to 70°, most intense first:
d 4.116, 2θ = 21.59°, I 100
d 2.376, 2θ = 37.86°, I 50
d 3.237, 2θ = 27.55°, I 48
d 2.164, 2θ = 41.73°, I 41
d 2.545, 2θ = 35.27°, I 39
d 2.724, 2θ = 32.88°, I 34
d 1.443, 2θ = 64.57°, I 21
d 2.058, 2θ = 44.00°, I 17
d 1.491, 2θ = 62.25°, I 17
d 1.662, 2θ = 55.27°, I 17

Crystal structure
```
Mg6Tl2In
1.0
8.2313 0.0000 0.0000
-4.1156 7.1285 0.0000
0.0000 0.0000 3.6338
Mg Tl In
6 2 1
direct
0.0000 0.3715 0.0000
0.0000 0.7146 0.5000
0.2854 0.2854 0.5000
0.3715 0.0000 0.0000
0.6285 0.6285 0.0000
0.7146 0.0000 0.5000
0.3333 0.6667 0.5000
0.6667 0.3333 0.5000
0.0000 0.0000 0.0000
```